# 1
For La2CuAg3, a cell relaxed with GGA-PBE gives the theoretical powder X-ray diffraction pattern in this record (Cu Kα (λ = 1.5418 Å)).
Kinematic intensities with the Lorentz-polarization factor, no thermal factor.

Atomic structure:
Cell lengths 3.7839, 4.7412, 8.1366 Å; angles 90.00, 90.00, 90.00 degrees
Space group Pmm2 (No. 25)
Unique sites:
La 0.0000 0.0000 0.0000
La 0.0000 0.5000 0.4804
Cu 0.5000 0.0000 0.3175
Ag 0.5000 0.0000 0.6439
Ag 0.5000 0.5000 0.1652
Ag 0.5000 0.5000 0.8232

The 8 most intense peaks (2θ from 15° to 90°), in order of rising 2θ:
| hkl | d (Å) | Position (°2θ) | I_rel |
| --- | --- | --- | --- |
| 1 1 1 | 2.780 | 32.20 | 100 |
| 1 0 2 | 2.771 | 32.31 | 49 |
| 0 2 0 | 2.371 | 37.96 | 32 |
| 0 1 3 | 2.354 | 38.23 | 62 |
| 2 0 0 | 1.892 | 48.09 | 16 |
| 1 2 2 | 1.801 | 50.68 | 27 |
| 2 2 0 | 1.479 | 62.84 | 14 |
| 2 1 3 | 1.475 | 63.03 | 27 |

# 2
For LaPrCuAg, a cell relaxed with GGA-PBE gives the theoretical powder X-ray diffraction pattern in this record (Cu Kα (λ = 1.5418 Å)).
Kinematic intensities with the Lorentz-polarization factor, no thermal factor.

Atomic structure:
Cell lengths 3.7190, 3.7190, 7.4488 Å; angles 90.00, 90.00, 90.00 degrees
Space group P4mm (No. 99)
Unique sites:
La 0.0000 0.0000 0.0000
Pr 0.0000 0.0000 0.4690
Cu 0.5000 0.5000 0.2393
Ag 0.5000 0.5000 0.7294

The 8 most intense peaks (2θ from 15° to 90°), in order of rising 2θ:
| hkl | d (Å) | Position (°2θ) | I_rel |
| --- | --- | --- | --- |
| 1 0 0 | 3.721 | 23.92 | 5 |
| 1 0 1 | 3.327 | 26.79 | 3 |
| 1 1 0 | 2.631 | 34.08 | 100 |
| 2 0 0 | 1.860 | 48.96 | 17 |
| 2 1 2 | 1.519 | 61.00 | 35 |
| 2 2 0 | 1.315 | 71.75 | 10 |
| 1 0 6 | 1.178 | 81.79 | 4 |
| 3 1 0 | 1.176 | 81.91 | 10 |

# 3
For Li3CuAg, a cell relaxed with GGA-PBE gives the theoretical powder X-ray diffraction pattern in this record (Cu Kα (λ = 1.5418 Å)).
Kinematic intensities with the Lorentz-polarization factor, no thermal factor.

Atomic structure:
Cell lengths 6.0432, 4.0417, 6.2188 Å; angles 90.00, 90.78, 90.00 degrees
Space group P2_1/m (No. 11)
Unique sites:
Li 0.0514 0.2500 0.3477
Li 0.2586 0.2500 0.7497
Li 0.4473 0.2500 0.1728
Cu 0.3699 0.7500 0.4545
Ag 0.1612 0.7500 0.0637

The 8 most intense peaks (2θ from 15° to 90°), in order of rising 2θ:
| hkl | d (Å) | Position (°2θ) | I_rel |
| --- | --- | --- | --- |
| 1 0 -1 | 4.363 | 20.35 | 100 |
| 1 1 0 | 3.360 | 26.53 | 96 |
| 0 0 2 | 3.109 | 28.71 | 33 |
| 1 1 2 | 2.273 | 39.65 | 63 |
| 2 1 -1 | 2.264 | 39.82 | 64 |
| 2 1 1 | 2.247 | 40.13 | 28 |
| 0 2 0 | 2.021 | 44.85 | 23 |
| 1 0 -3 | 1.969 | 46.10 | 21 |

# 4
For Li9CuAg2, a cell relaxed with GGA-PBE gives the theoretical powder X-ray diffraction pattern in this record (Cu Kα (λ = 1.5418 Å)).
Kinematic intensities with the Lorentz-polarization factor, no thermal factor.

Atomic structure:
Cell lengths 4.2738, 4.7769, 11.1930 Å; angles 77.99, 89.04, 63.44 degrees
Space group P-1 (No. 2)
Unique sites:
Li 0.0000 0.0000 0.0000
Li 0.0009 0.9986 0.2548
Li 0.3269 0.3472 0.5749
Li 0.3323 0.3368 0.8448
Li 0.3471 0.3022 0.3400
Cu 0.0000 0.0000 0.5000
Ag 0.3367 0.3291 0.0912

The 8 most intense peaks (2θ from 15° to 90°), in order of rising 2θ:
| hkl | d (Å) | Position (°2θ) | I_rel |
| --- | --- | --- | --- |
| 0 0 2 | 5.453 | 16.25 | 67 |
| 0 1 1 | 4.218 | 21.06 | 100 |
| 1 0 1 | 3.502 | 25.44 | 65 |
| 1 1 -1 | 3.461 | 25.74 | 62 |
| 0 1 3 | 3.105 | 28.75 | 38 |
| 0 1 -2 | 3.001 | 29.77 | 38 |
| 1 1 4 | 2.349 | 38.32 | 37 |
| 1 -1 0 | 2.332 | 38.60 | 37 |

# 5
For Li2CuAg2, a cell relaxed with GGA-PBE gives the theoretical powder X-ray diffraction pattern in this record (Cu Kα (λ = 1.5418 Å)).
Kinematic intensities with the Lorentz-polarization factor, no thermal factor.

Atomic structure:
Cell lengths 9.3282, 4.9227, 7.4383 Å; angles 90.00, 114.72, 90.00 degrees
Space group C2/c (No. 15)
Unique sites:
Li 0.0983 0.1621 0.4531
Cu 0.0000 0.3451 0.7500
Ag 0.1985 0.3485 0.1459

The 8 most intense peaks (2θ from 15° to 90°), in order of rising 2θ:
| hkl | d (Å) | Position (°2θ) | I_rel |
| --- | --- | --- | --- |
| 2 0 0 | 4.247 | 20.92 | 86 |
| 1 1 -1 | 4.000 | 22.22 | 78 |
| 1 1 1 | 3.302 | 27.00 | 34 |
| 1 1 2 | 2.411 | 37.30 | 52 |
| 4 0 -2 | 2.273 | 39.66 | 66 |
| 1 1 -3 | 2.190 | 41.22 | 78 |
| 2 2 -1 | 2.164 | 41.73 | 100 |
| 3 1 1 | 2.075 | 43.63 | 75 |

# 6
For LiZnCuAg, a cell relaxed with GGA-PBE gives the theoretical powder X-ray diffraction pattern in this record (Cu Kα (λ = 1.5418 Å)).
Kinematic intensities with the Lorentz-polarization factor, no thermal factor.

Atomic structure:
Cell lengths 6.1345, 6.1345, 6.1345 Å; angles 90.00, 90.00, 90.00 degrees
Space group F-43m (No. 216)
Unique sites:
Li 0.0000 0.0000 0.0000
Zn 0.0000 0.0000 0.5000
Cu 0.2500 0.2500 0.2500
Ag 0.2500 0.2500 0.7500

The 8 most intense peaks (2θ from 15° to 90°), in order of rising 2θ:
| hkl | d (Å) | Position (°2θ) | I_rel |
| --- | --- | --- | --- |
| 1 1 1 | 3.542 | 25.14 | 24 |
| 2 0 0 | 3.067 | 29.11 | 22 |
| 2 2 0 | 2.169 | 41.64 | 100 |
| 3 1 1 | 1.850 | 49.27 | 11 |
| 2 2 2 | 1.771 | 51.61 | 6 |
| 4 0 0 | 1.534 | 60.35 | 16 |
| 4 2 0 | 1.372 | 68.39 | 7 |
| 4 2 2 | 1.252 | 76.00 | 31 |

# 7
For SrLuCuAg, a cell relaxed with GGA-PBE gives the theoretical powder X-ray diffraction pattern in this record (Cu Kα (λ = 1.5418 Å)).
Kinematic intensities with the Lorentz-polarization factor, no thermal factor.

Atomic structure:
Cell lengths 7.3130, 7.3130, 7.3130 Å; angles 90.00, 90.00, 90.00 degrees
Space group F-43m (No. 216)
Unique sites:
Sr 0.0000 0.0000 0.0000
Lu 0.0000 0.0000 0.5000
Cu 0.2500 0.2500 0.2500
Ag 0.2500 0.2500 0.7500

The 8 most intense peaks (2θ from 15° to 90°), in order of rising 2θ:
| hkl | d (Å) | Position (°2θ) | I_rel |
| --- | --- | --- | --- |
| 1 1 1 | 4.222 | 21.04 | 11 |
| 2 0 0 | 3.656 | 24.34 | 4 |
| 2 2 0 | 2.586 | 34.70 | 100 |
| 3 1 1 | 2.205 | 40.93 | 6 |
| 4 0 0 | 1.828 | 49.88 | 18 |
| 4 2 2 | 1.493 | 62.19 | 36 |
| 4 4 0 | 1.293 | 73.22 | 11 |
| 6 2 0 | 1.156 | 83.63 | 15 |

# 8
For Mg8CuAg2, a cell relaxed with GGA-PBE gives the theoretical powder X-ray diffraction pattern in this record (Cu Kα (λ = 1.5418 Å)).
Kinematic intensities with the Lorentz-polarization factor, no thermal factor.

Atomic structure:
Cell lengths 15.2847, 4.7174, 6.6917 Å; angles 90.00, 113.63, 90.00 degrees
Space group C2/m (No. 12)
Unique sites:
Mg 0.0187 0.0000 0.2721
Mg 0.1066 0.5000 0.9279
Mg 0.1600 0.5000 0.4230
Mg 0.1838 0.0000 0.7458
Cu 0.0000 0.5000 0.5000
Ag 0.1820 0.0000 0.1709

The 8 most intense peaks (2θ from 15° to 90°), in order of rising 2θ:
| hkl | d (Å) | Position (°2θ) | I_rel |
| --- | --- | --- | --- |
| 2 0 1 | 3.902 | 22.79 | 49 |
| 1 1 -1 | 3.855 | 23.07 | 85 |
| 4 0 -1 | 3.757 | 23.68 | 50 |
| 3 1 0 | 3.318 | 26.87 | 52 |
| 1 1 2 | 2.390 | 37.64 | 100 |
| 0 2 0 | 2.359 | 38.15 | 56 |
| 5 1 -2 | 2.322 | 38.78 | 67 |
| 3 1 -3 | 2.017 | 44.95 | 59 |

# 9
For Mg8Cu2Ag, a cell relaxed with GGA-PBE gives the theoretical powder X-ray diffraction pattern in this record (Cu Kα (λ = 1.5418 Å)).
Kinematic intensities with the Lorentz-polarization factor, no thermal factor.

Atomic structure:
Cell lengths 4.4294, 5.3434, 9.9227 Å; angles 98.50, 90.47, 113.77 degrees
Space group P-1 (No. 2)
Unique sites:
Mg 0.0527 0.1025 0.3096
Mg 0.2255 0.4507 0.5956
Mg 0.3350 0.6704 0.2004
Mg 0.3731 0.7507 0.8965
Cu 0.1050 0.2060 0.9425
Ag 0.5000 0.0000 0.5000

The 8 most intense peaks (2θ from 15° to 90°), in order of rising 2θ:
| hkl | d (Å) | Position (°2θ) | I_rel |
| --- | --- | --- | --- |
| 0 0 2 | 4.893 | 18.13 | 31 |
| 0 1 0 | 4.823 | 18.40 | 14 |
| -1 1 1 | 3.635 | 24.49 | 33 |
| 1 0 3 | 2.453 | 36.64 | 100 |
| 1 -2 2 | 2.421 | 37.13 | 32 |
| 0 2 1 | 2.257 | 39.95 | 22 |
| 2 -1 0 | 2.214 | 40.75 | 28 |
| 0 1 -5 | 1.927 | 47.17 | 18 |

# 10
For MgCuAg6, a cell relaxed with GGA-PBE gives the theoretical powder X-ray diffraction pattern in this record (Cu Kα (λ = 1.5418 Å)).
Kinematic intensities with the Lorentz-polarization factor, no thermal factor.

Atomic structure:
Cell lengths 7.7360, 7.7360, 9.6252 Å; angles 90.00, 90.00, 120.00 degrees
Space group R-3m (No. 166, hexagonal axes)
Unique sites:
Mg 0.0000 0.0000 0.0000
Cu 0.0000 0.0000 0.5000
Ag 0.0870 0.5435 0.3712

The 8 most intense peaks (2θ from 15° to 90°), in order of rising 2θ:
| hkl | d (Å) | Position (°2θ) | I_rel |
| --- | --- | --- | --- |
| 0 0 3 | 3.208 | 27.81 | 46 |
| 0 2 1 | 3.164 | 28.21 | 100 |
| 2 1 1 | 2.449 | 36.70 | 64 |
| 1 0 4 | 2.265 | 39.80 | 23 |
| 1 2 2 | 2.241 | 40.24 | 98 |
| 0 2 4 | 1.954 | 46.47 | 23 |
| 3 0 3 | 1.833 | 49.75 | 52 |
| 3 3 0 | 1.290 | 73.40 | 31 |

# 11
For MgCuAg2, a cell relaxed with GGA-PBE gives the theoretical powder X-ray diffraction pattern in this record (Cu Kα (λ = 1.5418 Å)).
Kinematic intensities with the Lorentz-polarization factor, no thermal factor.

Atomic structure:
Cell lengths 3.0886, 3.6419, 5.9598 Å; angles 90.00, 90.33, 90.00 degrees
Space group Pm (No. 6)
Unique sites:
Mg 0.0000 0.0000 0.0000
Cu 0.4996 0.5000 0.2398
Ag 0.4988 0.5000 0.7421
Ag 0.9994 0.0000 0.4682

The 8 most intense peaks (2θ from 15° to 90°), in order of rising 2θ:
| hkl | d (Å) | Position (°2θ) | I_rel |
| --- | --- | --- | --- |
| 0 1 1 | 3.108 | 28.73 | 24 |
| 1 1 0 | 2.356 | 38.21 | 100 |
| 0 1 2 | 2.306 | 39.06 | 92 |
| 1 0 -2 | 2.151 | 42.01 | 37 |
| 1 0 2 | 2.138 | 42.27 | 36 |
| 0 2 0 | 1.821 | 50.09 | 22 |
| 1 2 -2 | 1.390 | 67.38 | 17 |
| 1 2 2 | 1.386 | 67.58 | 19 |

# 12
For Na2CuAg, a cell relaxed with GGA-PBE gives the theoretical powder X-ray diffraction pattern in this record (Cu Kα (λ = 1.5418 Å)).
Kinematic intensities with the Lorentz-polarization factor, no thermal factor.

Atomic structure:
Cell lengths 2.9961, 2.9961, 31.7953 Å; angles 90.00, 90.00, 120.00 degrees
Space group R-3m (No. 166, hexagonal axes)
Unique sites:
Na 0.0000 0.0000 0.0859
Cu 0.0000 0.0000 0.0000
Ag 0.0000 0.0000 0.5000

The 8 most intense peaks (2θ from 15° to 90°), in order of rising 2θ:
| hkl | d (Å) | Position (°2θ) | I_rel |
| --- | --- | --- | --- |
| 0 0 6 | 5.299 | 16.73 | 87 |
| 0 0 12 | 2.650 | 33.83 | 46 |
| 0 1 2 | 2.561 | 35.04 | 100 |
| 1 0 4 | 2.467 | 36.42 | 51 |
| 0 1 8 | 2.173 | 41.57 | 39 |
| 1 0 10 | 2.010 | 45.10 | 52 |
| 0 1 14 | 1.709 | 53.63 | 25 |
| 1 1 12 | 1.304 | 72.48 | 26 |